Entry 1:
Structure and simulated XRD peak list of Ti4SnH (a structure optimized by DFT (PBE); Cu Kα).
Intensities are scaled so that the largest is 100.

The 10 most intense peaks (2θ from 10° to 90°), by angle:
d/Å  Rel. int.
6.681  20.8
3.674  17.7
2.621  52.9
2.411  18.3
2.403  56.0
2.340  47.2
2.330  47.4
2.147  100.0
1.769  19.3
1.441  17.5

```
data_Ti4SnH
_chemical_formula_sum 'Ti16 Sn4 H4'
_space_group_name_H-M_alt 'C 1 2/m 1'
_space_group_IT_number 12
_cell_length_a 14.1767
_cell_length_b 5.6998
_cell_length_c 4.8052
_cell_angle_alpha 90.00
_cell_angle_beta 109.52
_cell_angle_gamma 90.00
loop_
_space_group_symop_operation_xyz
'x,y,z'
'-x,-y,-z'
'-x,y,-z'
'x,-y,z'
'x+1/2,y+1/2,z'
'-x+1/2,-y+1/2,-z'
'-x+1/2,y+1/2,-z'
'x+1/2,-y+1/2,z'
loop_
_atom_site_label
_atom_site_type_symbol
_atom_site_fract_x
_atom_site_fract_y
_atom_site_fract_z
Ti1 Ti 0.0000 0.2464 0.0000
Ti2 Ti 0.1099 0.2507 0.6118
Ti3 Ti 0.1960 0.0000 0.1976
Sn1 Sn 0.1877 0.5000 0.1875
H1 H 0.0756 0.0000 0.2975
```


Entry 2:
Structure and simulated XRD peak list of Tb2Nd3Dy6 (a structure optimized by DFT (PBE); Cu Kα).
Intensities are scaled so that the largest is 100.

The 10 most intense peaks (2θ from 10° to 90°), by angle:
d/Å  Rel. int.
2.905  57.1
2.863  41.0
2.795  100.0
2.629  13.5
2.041  14.5
1.936  11.1
1.727  13.0
1.639  20.5
1.498  16.5
1.479  14.8

```
data_Tb2Nd3Dy6
_chemical_formula_sum 'Tb4 Nd6 Dy12'
_space_group_name_H-M_alt 'C m m m'
_space_group_IT_number 65
_space_group_name_Hall '-C 2 2'
_cell_length_a 5.7255
_cell_length_b 12.1135
_cell_length_c 10.5143
_cell_angle_alpha 90.00
_cell_angle_beta 90.00
_cell_angle_gamma 90.00
loop_
_atom_site_label
_atom_site_type_symbol
_atom_site_fract_x
_atom_site_fract_y
_atom_site_fract_z
Tb1 Tb 0.0000 0.1328 0.0000
Nd1 Nd 0.0000 0.2059 0.5000
Nd2 Nd 0.0000 0.5000 0.5000
Dy1 Dy 0.0000 0.0000 0.2883
Dy2 Dy 0.0000 0.3493 0.1978
```


Entry 3:
Structure and simulated XRD peak list of Ac2ZnSnGe (a structure optimized by DFT (PBE); Cu Kα).
Intensities are scaled so that the largest is 100.

The 10 most intense peaks (2θ from 10° to 90°), by angle:
d/Å  Rel. int.
3.897  41.3
3.662  58.2
3.315  31.6
3.251  82.2
3.198  100.0
2.690  35.2
2.590  39.1
2.374  35.8
2.302  44.1
2.154  37.9

```
data_Ac2ZnSnGe
_chemical_formula_sum 'Ac4 Zn2 Sn2 Ge2'
_space_group_name_H-M_alt 'P 1 21/m 1'
_space_group_IT_number 11
_cell_length_a 7.5866
_cell_length_b 4.6032
_cell_length_c 9.5106
_cell_angle_alpha 90.00
_cell_angle_beta 105.11
_cell_angle_gamma 90.00
loop_
_space_group_symop_operation_xyz
'x,y,z'
'-x,-y,-z'
'-x,y+1/2,-z'
'x,-y+1/2,z'
loop_
_atom_site_label
_atom_site_type_symbol
_atom_site_fract_x
_atom_site_fract_y
_atom_site_fract_z
Ac1 Ac 0.1986 0.2500 0.4041
Ac2 Ac 0.2482 0.2500 0.9629
Zn1 Zn 0.4828 0.7500 0.2743
Sn1 Sn 0.3134 0.7500 0.6908
Ge1 Ge 0.1594 0.7500 0.1674
```